1.
For Sr3MnI2Cl6, a cell relaxed with PBE gives the computed X-ray powder pattern in this record (Cu Kα, 1.54184 Å).
Intensities are scaled so that the largest is 100.

```
data_Sr3MnI2Cl6
_chemical_formula_sum 'Sr6 Mn2 I4 Cl12'
_cell_length_a 14.533
_cell_length_b 8.386
_cell_length_c 6.865
_cell_angle_alpha 90.00
_cell_angle_beta 96.20
_cell_angle_gamma 90.00
_symmetry_space_group_name_H-M 'C 1 2/m 1'
_symmetry_Int_Tables_number 12
_symmetry_space_group_name_Hall '-C 2y'
loop_
_atom_site_label
_atom_site_type_symbol
_atom_site_fract_x
_atom_site_fract_y
_atom_site_fract_z
Sr1 Sr 0.000 0.000 0.000
Sr2 Sr 0.250 0.250 0.500
Mn1 Mn 0.000 0.500 0.500
I1 I 0.199 0.000 0.831
Cl1 Cl 0.064 0.260 0.287
Cl2 Cl 0.154 0.500 0.689
```

Principal peaks in the range 2θ from 10° to 90°, in order of rising 2θ:
7.230 Å, I 28
4.841 Å, I 100
3.573 Å, I 43
3.277 Å, I 78
3.059 Å, I 30
2.615 Å, I 24
2.555 Å, I 38
2.420 Å, I 44
2.096 Å, I 26
2.088 Å, I 27

---

2.
For MoICl, a cell relaxed with PBE gives the computed X-ray powder pattern in this record (Cu Kα, 1.54184 Å).
Intensities are scaled so that the largest is 100.

```
data_MoICl
_chemical_formula_sum 'Mo2 I2 Cl2'
_cell_length_a 4.106
_cell_length_b 7.147
_cell_length_c 7.351
_cell_angle_alpha 92.33
_cell_angle_beta 91.41
_cell_angle_gamma 92.68
_symmetry_space_group_name_H-M 'P -1'
_symmetry_Int_Tables_number 2
_symmetry_space_group_name_Hall '-P 1'
loop_
_atom_site_label
_atom_site_type_symbol
_atom_site_fract_x
_atom_site_fract_y
_atom_site_fract_z
Mo1 Mo 0.181 0.406 0.055
I1 I 0.499 0.316 0.748
Cl1 Cl 0.055 0.787 0.731
```

Principal peaks in the range 2θ from 10° to 90°, in order of rising 2θ:
7.343 Å, I 52
7.133 Å, I 100
5.227 Å, I 60
3.255 Å, I 83
3.096 Å, I 40
2.772 Å, I 22
2.629 Å, I 14
2.594 Å, I 16
2.583 Å, I 21
2.506 Å, I 21

---

3.
For Mo4ICl7, a cell relaxed with PBE gives the computed X-ray powder pattern in this record (Cu Kα, 1.54184 Å).
Intensities are scaled so that the largest is 100.

```
data_Mo4ICl7
_chemical_formula_sum 'Mo8 I2 Cl14'
_cell_length_a 6.563
_cell_length_b 7.317
_cell_length_c 15.622
_cell_angle_alpha 84.32
_cell_angle_beta 83.38
_cell_angle_gamma 87.54
_symmetry_space_group_name_H-M 'P 1'
_symmetry_Int_Tables_number 1
_symmetry_space_group_name_Hall 'P 1'
loop_
_atom_site_label
_atom_site_type_symbol
_atom_site_fract_x
_atom_site_fract_y
_atom_site_fract_z
Mo1 Mo 0.000 0.000 0.000
Mo2 Mo 0.031 0.180 0.470
Mo3 Mo 0.230 0.833 0.484
Mo4 Mo 0.320 0.311 0.419
Mo5 Mo 0.518 0.964 0.433
Mo6 Mo 0.555 0.147 0.903
Mo7 Mo 0.696 0.074 0.065
Mo8 Mo 0.859 0.073 0.838
I1 I 0.695 0.402 0.765
I2 I 0.860 0.745 0.138
Cl1 Cl 0.019 0.392 0.338
Cl2 Cl 0.064 0.989 0.605
Cl3 Cl 0.113 0.456 0.544
Cl4 Cl 0.125 0.247 0.890
Cl5 Cl 0.430 0.900 0.014
Cl6 Cl 0.436 0.689 0.360
Cl7 Cl 0.485 0.155 0.298
Cl8 Cl 0.530 0.752 0.566
Cl9 Cl 0.563 0.928 0.790
Cl10 Cl 0.575 0.372 0.006
Cl11 Cl 0.582 0.219 0.516
Cl12 Cl 0.967 0.925 0.387
Cl13 Cl 0.980 0.775 0.897
Cl14 Cl 0.992 0.219 0.113
```

Principal peaks in the range 2θ from 10° to 90°, in order of rising 2θ:
7.724 Å, I 100
7.278 Å, I 77
6.838 Å, I 18
6.259 Å, I 30
5.777 Å, I 48
5.567 Å, I 60
5.280 Å, I 29
5.149 Å, I 30
4.917 Å, I 39
2.644 Å, I 18

---

4.
For PdI2NCl, a cell relaxed with PBE gives the computed X-ray powder pattern in this record (Cu Kα, 1.54184 Å).
Intensities are scaled so that the largest is 100.

```
data_PdI2NCl
_chemical_formula_sum 'Pd1 I2 N1 Cl1'
_cell_length_a 5.825
_cell_length_b 5.825
_cell_length_c 3.703
_cell_angle_alpha 90.00
_cell_angle_beta 90.00
_cell_angle_gamma 90.00
_symmetry_space_group_name_H-M 'P 4/m m m'
_symmetry_Int_Tables_number 123
_symmetry_space_group_name_Hall '-P 4 2'
loop_
_atom_site_label
_atom_site_type_symbol
_atom_site_fract_x
_atom_site_fract_y
_atom_site_fract_z
Pd1 Pd 0.000 0.000 0.000
I1 I 0.000 0.500 0.000
N1 N 0.000 0.000 0.500
Cl1 Cl 0.500 0.500 0.500
```

Principal peaks in the range 2θ from 10° to 90°, in order of rising 2θ:
5.825 Å, I 24
3.703 Å, I 52
3.125 Å, I 25
2.912 Å, I 100
2.754 Å, I 38
2.289 Å, I 58
2.059 Å, I 36
1.800 Å, I 28
1.562 Å, I 29
1.377 Å, I 19

---

5.
For NaICl6, a cell relaxed with PBE gives the computed X-ray powder pattern in this record (Cu Kα, 1.54184 Å).
Intensities are scaled so that the largest is 100.

```
data_NaICl6
_chemical_formula_sum 'Na2 I2 Cl12'
_cell_length_a 6.990
_cell_length_b 12.135
_cell_length_c 6.743
_cell_angle_alpha 90.00
_cell_angle_beta 109.35
_cell_angle_gamma 90.00
_symmetry_space_group_name_H-M 'C 1 2/m 1'
_symmetry_Int_Tables_number 12
_symmetry_space_group_name_Hall '-C 2y'
loop_
_atom_site_label
_atom_site_type_symbol
_atom_site_fract_x
_atom_site_fract_y
_atom_site_fract_z
Na1 Na 0.000 0.000 0.000
I1 I 0.000 0.500 0.500
Cl1 Cl 0.216 0.354 0.735
Cl2 Cl 0.230 0.500 0.287
```

Principal peaks in the range 2θ from 10° to 90°, in order of rising 2θ:
6.362 Å, I 50
6.067 Å, I 90
5.795 Å, I 78
5.084 Å, I 100
4.391 Å, I 32
3.772 Å, I 31
2.833 Å, I 96
2.799 Å, I 45
2.020 Å, I 43
1.964 Å, I 28

---

6.
For NaICl6, a cell relaxed with PBE gives the computed X-ray powder pattern in this record (Cu Kα, 1.54184 Å).
Intensities are scaled so that the largest is 100.

```
data_NaICl6
_chemical_formula_sum 'Na4 I4 Cl24'
_cell_length_a 10.882
_cell_length_b 8.218
_cell_length_c 11.740
_cell_angle_alpha 90.00
_cell_angle_beta 93.50
_cell_angle_gamma 90.00
_symmetry_space_group_name_H-M 'C 1 2/c 1'
_symmetry_Int_Tables_number 15
_symmetry_space_group_name_Hall '-C 2yc'
loop_
_atom_site_label
_atom_site_type_symbol
_atom_site_fract_x
_atom_site_fract_y
_atom_site_fract_z
Na1 Na 0.000 0.046 0.250
I1 I 0.250 0.250 0.500
Cl1 Cl 0.064 0.342 0.382
Cl2 Cl 0.129 0.247 0.676
Cl3 Cl 0.186 0.037 0.956
```

Principal peaks in the range 2θ from 10° to 90°, in order of rising 2θ:
5.859 Å, I 36
5.812 Å, I 100
5.632 Å, I 99
4.110 Å, I 63
3.868 Å, I 27
2.817 Å, I 24
2.647 Å, I 26
2.599 Å, I 29
2.582 Å, I 36
2.460 Å, I 23

---

7.
For Na3ICl4, a cell relaxed with PBE gives the computed X-ray powder pattern in this record (Cu Kα, 1.54184 Å).
Intensities are scaled so that the largest is 100.

```
data_Na3ICl4
_chemical_formula_sum 'Na6 I2 Cl8'
_cell_length_a 8.798
_cell_length_b 8.455
_cell_length_c 7.491
_cell_angle_alpha 90.00
_cell_angle_beta 90.00
_cell_angle_gamma 90.00
_symmetry_space_group_name_H-M 'P m n 21'
_symmetry_Int_Tables_number 31
_symmetry_space_group_name_Hall 'P 2ac -2'
loop_
_atom_site_label
_atom_site_type_symbol
_atom_site_fract_x
_atom_site_fract_y
_atom_site_fract_z
Na1 Na 0.000 0.137 0.000
Na2 Na 0.247 0.696 0.037
I1 I 0.000 0.649 0.639
Cl1 Cl 0.000 0.173 0.652
Cl2 Cl 0.000 0.851 0.131
Cl3 Cl 0.207 0.368 0.155
```

Principal peaks in the range 2θ from 10° to 90°, in order of rising 2θ:
8.455 Å, I 50
6.096 Å, I 27
5.703 Å, I 46
5.607 Å, I 26
4.728 Å, I 44
3.810 Å, I 31
3.745 Å, I 86
3.682 Å, I 100
2.822 Å, I 42
2.150 Å, I 36

---

8.
For Na3ICl2, a cell relaxed with PBE gives the computed X-ray powder pattern in this record (Cu Kα, 1.54184 Å).
Intensities are scaled so that the largest is 100.

```
data_Na3ICl2
_chemical_formula_sum 'Na12 I4 Cl8'
_cell_length_a 7.243
_cell_length_b 11.297
_cell_length_c 8.867
_cell_angle_alpha 90.00
_cell_angle_beta 90.00
_cell_angle_gamma 90.00
_symmetry_space_group_name_H-M 'I m m a'
_symmetry_Int_Tables_number 74
_symmetry_space_group_name_Hall '-I 2b 2'
loop_
_atom_site_label
_atom_site_type_symbol
_atom_site_fract_x
_atom_site_fract_y
_atom_site_fract_z
Na1 Na 0.233 0.000 0.000
Na2 Na 0.250 0.250 0.250
I1 I 0.000 0.250 0.933
Cl1 Cl 0.000 0.066 0.300
```

Principal peaks in the range 2θ from 10° to 90°, in order of rising 2θ:
5.609 Å, I 66
3.980 Å, I 100
3.586 Å, I 62
2.860 Å, I 36
2.824 Å, I 24
2.523 Å, I 28
2.512 Å, I 72
2.504 Å, I 37
2.154 Å, I 25
1.847 Å, I 28

---

9.
For NaPb2ICl4, a cell relaxed with PBE gives the computed X-ray powder pattern in this record (Cu Kα, 1.54184 Å).
Intensities are scaled so that the largest is 100.

```
data_NaPb2ICl4
_chemical_formula_sum 'Na2 Pb4 I2 Cl8'
_cell_length_a 13.595
_cell_length_b 4.126
_cell_length_c 9.979
_cell_angle_alpha 90.00
_cell_angle_beta 116.17
_cell_angle_gamma 90.00
_symmetry_space_group_name_H-M 'C 1 2/m 1'
_symmetry_Int_Tables_number 12
_symmetry_space_group_name_Hall '-C 2y'
loop_
_atom_site_label
_atom_site_type_symbol
_atom_site_fract_x
_atom_site_fract_y
_atom_site_fract_z
Na1 Na 0.000 0.000 0.000
Pb1 Pb 0.188 0.000 0.754
I1 I 0.000 0.500 0.500
Cl1 Cl 0.125 0.500 0.940
Cl2 Cl 0.180 0.000 0.278
```

Principal peaks in the range 2θ from 10° to 90°, in order of rising 2θ:
6.566 Å, I 100
4.743 Å, I 62
3.410 Å, I 54
3.175 Å, I 32
3.051 Å, I 36
3.029 Å, I 43
2.896 Å, I 57
2.879 Å, I 42
2.553 Å, I 41
2.240 Å, I 30

---

10.
For Rb3Na2I3Cl2, a cell relaxed with PBE gives the computed X-ray powder pattern in this record (Cu Kα, 1.54184 Å).
Intensities are scaled so that the largest is 100.

```
data_Rb3Na2I3Cl2
_chemical_formula_sum 'Rb6 Na4 I6 Cl4'
_cell_length_a 5.258
_cell_length_b 5.258
_cell_length_c 31.034
_cell_angle_alpha 90.00
_cell_angle_beta 90.00
_cell_angle_gamma 90.00
_symmetry_space_group_name_H-M 'I 4/m m m'
_symmetry_Int_Tables_number 139
_symmetry_space_group_name_Hall '-I 4 2'
loop_
_atom_site_label
_atom_site_type_symbol
_atom_site_fract_x
_atom_site_fract_y
_atom_site_fract_z
Rb1 Rb 0.000 0.000 0.000
Rb2 Rb 0.000 0.000 0.382
Na1 Na 0.000 0.500 0.250
I1 I 0.000 0.000 0.124
I2 I 0.000 0.000 0.500
Cl1 Cl 0.000 0.000 0.275
```

Principal peaks in the range 2θ from 10° to 90°, in order of rising 2θ:
3.879 Å, I 62
3.718 Å, I 100
3.616 Å, I 18
2.684 Å, I 69
2.629 Å, I 52
2.176 Å, I 52
1.859 Å, I 18
1.676 Å, I 23
1.663 Å, I 19
1.528 Å, I 24

---

11.
For NaSnI2Cl, a cell relaxed with PBE gives the computed X-ray powder pattern in this record (Cu Kα, 1.54184 Å).
Intensities are scaled so that the largest is 100.

```
data_NaSnI2Cl
_chemical_formula_sum 'Na4 Sn4 I8 Cl4'
_cell_length_a 4.488
_cell_length_b 14.952
_cell_length_c 9.951
_cell_angle_alpha 90.00
_cell_angle_beta 90.00
_cell_angle_gamma 90.00
_symmetry_space_group_name_H-M 'C m c m'
_symmetry_Int_Tables_number 63
_symmetry_space_group_name_Hall '-C 2c 2'
loop_
_atom_site_label
_atom_site_type_symbol
_atom_site_fract_x
_atom_site_fract_y
_atom_site_fract_z
Na1 Na 0.000 0.000 0.000
Sn1 Sn 0.000 0.280 0.250
I1 I 0.000 0.354 0.559
Cl1 Cl 0.000 0.100 0.750
```

Principal peaks in the range 2θ from 10° to 90°, in order of rising 2θ:
7.476 Å, I 67
3.335 Å, I 100
3.162 Å, I 53
3.032 Å, I 71
2.989 Å, I 29
2.626 Å, I 83
2.415 Å, I 32
2.244 Å, I 32
2.227 Å, I 41
1.804 Å, I 33

---

12.
For NaTiICl4, a cell relaxed with PBE gives the computed X-ray powder pattern in this record (Cu Kα, 1.54184 Å).
Intensities are scaled so that the largest is 100.

```
data_NaTiICl4
_chemical_formula_sum 'Na4 Ti4 I4 Cl16'
_cell_length_a 15.202
_cell_length_b 8.501
_cell_length_c 9.487
_cell_angle_alpha 90.00
_cell_angle_beta 100.29
_cell_angle_gamma 90.00
_symmetry_space_group_name_H-M 'C 1 2/m 1'
_symmetry_Int_Tables_number 12
_symmetry_space_group_name_Hall '-C 2y'
loop_
_atom_site_label
_atom_site_type_symbol
_atom_site_fract_x
_atom_site_fract_y
_atom_site_fract_z
Na1 Na 0.118 0.000 0.209
Ti1 Ti 0.232 0.000 0.695
I1 I 0.090 0.000 0.866
Cl1 Cl 0.118 0.000 0.506
Cl2 Cl 0.163 0.500 0.442
Cl3 Cl 0.222 0.275 0.190
```

Principal peaks in the range 2θ from 10° to 90°, in order of rising 2θ:
7.479 Å, I 19
7.390 Å, I 100
5.560 Å, I 80
4.250 Å, I 31
3.337 Å, I 25
3.211 Å, I 17
3.030 Å, I 16
2.783 Å, I 17
2.491 Å, I 18
1.958 Å, I 18

---

- What is the formula in the seventh record?
  Na3ICl4